1.
La16Dy7Tm6: theoretical powder XRD pattern (Cu Kα (λ = 1.5418 Å)), based on a structure optimized by DFT (PBE).
Lines closer than 0.1° are merged.

Largest 8 diffraction maxima, by angle, 2θ = 10–90°:
2θ/deg	I/Imax	hkl
15.49	6	2 2 0
26.99	6	4 2 2
28.66	5	3 3 3
31.26	100	4 4 0
44.80	16	8 0 0
55.64	30	8 4 4
65.22	9	8 8 0
74.10	10	12 4 0

Cell and atoms:
a b c (Å): 16.1844 16.1844 16.1844
angles (deg): 90.00 90.00 90.00
Space group Fm-3m (No. 225)
Unique sites:
La  0.1247  0.1247  0.1247 [32 per cell]
La  0.1475  0.1475  0.3525 [32 per cell]
Dy  0.0000  0.0000  0.0000 [4 per cell]
Dy  0.0000  0.2500  0.2500 [24 per cell]
Tm  0.0000  0.0000  0.2585 [24 per cell]



2.
Dy4TlSiSe2: theoretical powder XRD pattern (Cu Kα (λ = 1.5418 Å)), based on a structure optimized by DFT (PBE).
Lines closer than 0.1° are merged.

Largest 8 diffraction maxima, by angle, 2θ = 10–90°:
2θ/deg	I/Imax	hkl
16.79	6	1 0 1
26.13	11	1 1 2
30.26	100	2 0 0
43.33	75	2 2 0
53.76	26	2 2 4
62.98	8	4 0 0
71.43	33	4 2 0
79.50	25	4 2 4

Cell and atoms:
a b c (Å): 5.9035 5.9035 11.8246
angles (deg): 90.00 90.00 90.00
Space group I-4m2 (No. 119)
Unique sites:
Dy  0.0000  0.0000  0.2413 [4 per cell]
Dy  0.0000  0.5000  0.0039 [4 per cell]
Tl  0.0000  0.0000  0.5000 [2 per cell]
Si  0.0000  0.5000  0.2500 [2 per cell]
Se  0.0000  0.0000  0.0000 [2 per cell]
Se  0.0000  0.5000  0.7500 [2 per cell]



3.
CaAcLa5Nd2: theoretical powder XRD pattern (Cu Kα (λ = 1.5418 Å)), based on a structure optimized by DFT (PBE).
Lines closer than 0.1° are merged.

Largest 8 diffraction maxima, by angle, 2θ = 10–90°:
2θ/deg	I/Imax	hkl
26.67	50	2 2 0
27.12	46	2 1 3
29.60	100	2 0 4
29.89	37	3 1 0
34.68	23	3 2 1
35.64	25	2 1 5
48.95	18	4 2 4
54.76	20	5 1 4

Cell and atoms:
a b c (Å): 9.4545 9.4545 15.6841
angles (deg): 90.00 90.00 90.00
Space group I4/mcm (No. 140)
Unique sites:
Ca  0.0000  0.5000  0.2500 [4 per cell]
Ac  0.0000  0.0000  0.2500 [4 per cell]
La  0.0000  0.0000  0.0000 [4 per cell]
La  0.2038  0.2962  0.1228 [16 per cell]
Nd  0.1138  0.3862  0.5000 [8 per cell]



4.
Pr2As3Pd2: theoretical powder XRD pattern (Cu Kα (λ = 1.5418 Å)), based on a structure optimized by DFT (PBE).
Lines closer than 0.1° are merged.

Largest 8 diffraction maxima, by angle, 2θ = 10–90°:
2θ/deg	I/Imax	hkl
31.12	33	0 6 1
32.03	100	1 1 2
34.01	73	1 5 1
34.87	19	1 3 2
40.88	34	0 4 3
42.17	38	2 0 0
46.85	19	1 7 2
60.18	21	2 4 3

Cell and atoms:
a b c (Å): 4.2861 18.6634 7.5163
angles (deg): 90.00 90.00 90.00
Space group Cmcm (No. 63)
Unique sites:
Pr  0.0000  0.0573  0.2500 [4 per cell]
Pr  0.0000  0.1489  0.7500 [4 per cell]
As  0.0000  0.2253  0.2500 [4 per cell]
As  0.0000  0.4332  0.0412 [8 per cell]
Pd  0.0000  0.3016  0.5565 [8 per cell]



5.
RbPm2MnI8: theoretical powder XRD pattern (Cu Kα (λ = 1.5418 Å)), based on a structure optimized by DFT (PBE).
Lines closer than 0.1° are merged.

Largest 8 diffraction maxima, by angle, 2θ = 10–90°:
2θ/deg	I/Imax	hkl
16.09	48	1 1 0
17.25	34	1 -1 0
24.92	100	1 1 -2
25.69	52	1 -1 2
26.88	57	1 -2 0
32.47	77	2 1 2
33.67	43	-2 1 2
40.04	62	0 3 -2

Cell and atoms:
a b c (Å): 7.3670 7.7159 9.3915
angles (deg): 89.97 89.97 86.05
Space group P-1 (No. 2)
Unique sites:
Rb  0.0000  0.0000  0.0000 [1 per cell]
Pm  0.5000  0.5001  0.2744 [2 per cell]
Mn  0.0000  0.0000  0.5000 [1 per cell]
I  0.2401  0.8373  0.2924 [2 per cell]
I  0.2396  0.8368  0.7075 [2 per cell]
I  0.2518  0.3278  0.5001 [2 per cell]
I  0.2890  0.3636  0.0002 [2 per cell]



6.
ErSiPb: theoretical powder XRD pattern (Cu Kα (λ = 1.5418 Å)), based on a structure optimized by DFT (PBE).
Lines closer than 0.1° are merged.

Largest 8 diffraction maxima, by angle, 2θ = 10–90°:
2θ/deg	I/Imax	hkl
25.86	29	1 3 0
30.28	80	0 4 1
32.06	82	1 5 0
32.65	100	1 1 1
37.77	19	0 8 0
44.18	22	2 0 0
54.52	68	1 9 1
59.24	29	1 5 2

Cell and atoms:
a b c (Å): 4.1003 19.0548 3.7613
angles (deg): 90.00 90.00 90.00
Space group Cmcm (No. 63)
Unique sites:
Er  0.0000  0.0826  0.2500 [4 per cell]
Si  0.0000  0.4617  0.2500 [4 per cell]
Pb  0.0000  0.3067  0.2500 [4 per cell]